[1]
For NdMg2GaPd2, the PBE geometry in Alexandria gives the calculated XRD peak list in this record (Cu Kα (λ = 1.5418 Å)).
Neutral-atom scattering factors, no anomalous dispersion.

```
NdMg2GaPd2
1.0
-2.5554 2.5554 5.3453
2.5554 -2.5554 5.3453
2.5554 2.5554 -5.3453
Nd Mg Ga Pd
1 2 1 2
Direct
0.0000 0.0000 0.0000
0.2500 0.7500 0.5000
0.7500 0.2500 0.5000
0.5000 0.5000 0.0000
0.2757 0.2757 0.0000
0.7243 0.7243 0.0000
```

Principal peaks in the range 2θ = 10–90°, in order of falling intensity:
two_theta	Rel. int.
24.63	100
35.12	64
49.34	40
42.05	38
33.53	30
30.58	23
50.51	22
61.99	20
56.98	19
67.76	18

***

[2]
For AcLa3Nd4, the PBE geometry in Alexandria gives the calculated XRD peak list in this record (Cu Kα (λ = 1.5418 Å)).
Neutral-atom scattering factors, no anomalous dispersion.

```
AcLa3Nd4
1.0
10.6355 0.0000 0.0000
0.0000 7.4648 0.0000
0.0000 0.0000 7.4613
Ac La Nd
2 6 8
Direct
0.0000 0.0006 0.0000
0.5000 0.9994 0.5000
0.0000 0.4996 0.4997
0.2502 0.2543 0.7499
0.2498 0.7457 0.2499
0.5000 0.5004 0.9997
0.7498 0.2543 0.7499
0.7502 0.7457 0.2499
0.0000 0.0005 0.4996
0.0000 0.4999 0.0001
0.2494 0.7469 0.7498
0.2506 0.2531 0.2498
0.5000 0.9995 0.9996
0.5000 0.5001 0.5001
0.7494 0.2531 0.2498
0.7506 0.7469 0.7498
```

Principal peaks in the range 2θ = 10–90°, in order of falling intensity:
two_theta	Rel. int.
29.24	100
33.98	34
57.92	29
48.61	25
33.71	17
57.57	15
60.63	13
48.81	12
78.76	12
79.07	6